For In10Sb9Te, a PBE-relaxed structure gives the calculated PXRD pattern in this record (Cu Kα, 1.54184 Å).
Neutral-atom scattering factors, no anomalous dispersion.

The 12 most intense peaks (10 to 90 degrees two-theta), in order of rising 2θ:
28.94°, rel. 51, (1 0 -3); 29.08°, rel. 100, (1 2 0); 40.98°, rel. 20, (1 -2 4); 41.23°, rel. 19, (3 0 1); 41.33°, rel. 19, (2 2 -3); 41.61°, rel. 19, (0 2 3); 41.95°, rel. 18, (1 -4 1); 42.03°, rel. 18, (-3 2 2); 50.83°, rel. 10, (2 0 4); 51.21°, rel. 10, (0 4 -4); 51.48°, rel. 10, (4 0 -2); 68.80°, rel. 12, (3 -6 2)

Cell and atoms:
Cell lengths 7.5155, 8.6171, 9.8235 Å; angles 103.83, 96.70, 106.05 degrees
Space group P-1 (No. 2)
Asymmetric unit:
In  0.0011  0.2482  0.0015 [2 per cell]
In  0.1961  0.6446  0.3986 [2 per cell]
In  0.1969  0.1535  0.4016 [2 per cell]
In  0.3982  0.0542  0.8044 [2 per cell]
In  0.4012  0.5482  0.8018 [2 per cell]
Sb  0.0989  0.1992  0.6987 [2 per cell]
Sb  0.1112  0.7032  0.7011 [2 per cell]
Sb  0.2980  0.5996  0.1022 [2 per cell]
Sb  0.2995  0.0985  0.1068 [2 per cell]
Sb  0.5000  0.5000  0.5000 [1 per cell]
Te  0.5000  0.0000  0.5000 [1 per cell]

For InSb2Te6, a PBE-relaxed structure gives the calculated PXRD pattern in this record (Cu Kα, 1.54184 Å).
Neutral-atom scattering factors, no anomalous dispersion.

The 12 most intense peaks (10 to 90 degrees two-theta), in order of rising 2θ:
17.97°, rel. 58, (1 1 0); 26.64°, rel. 100, (1 1 3); 28.59°, rel. 37, (2 1 0); 34.84°, rel. 68, (2 1 3); 36.39°, rel. 33, (2 2 0); 39.59°, rel. 24, (0 0 6); 43.68°, rel. 58, (3 0 3); 49.56°, rel. 16, (2 1 6); 54.16°, rel. 15, (4 1 0); 54.86°, rel. 20, (2 2 6); 70.59°, rel. 20, (3 3 6); 76.37°, rel. 19, (5 2 3)

Cell and atoms:
Cell lengths 6.9822, 6.9822, 13.6569 Å; angles 90.00, 90.00, 90.00 degrees
Space group P4_2/mnm (No. 136)
Asymmetric unit:
In  0.0000  0.0000  0.0000 [2 per cell]
Sb  0.0000  0.0000  0.3355 [4 per cell]
Te  0.1948  0.1948  0.1659 [8 per cell]
Te  0.1988  0.1988  0.5000 [4 per cell]

For Ti4InSb2, a PBE-relaxed structure gives the calculated PXRD pattern in this record (Cu Kα, 1.54184 Å).
Neutral-atom scattering factors, no anomalous dispersion.

The 12 most intense peaks (10 to 90 degrees two-theta), in order of rising 2θ:
25.66°, rel. 100, (1 2 1); 30.18°, rel. 15, (2 0 2); 33.21°, rel. 15, (1 3 0); 34.47°, rel. 55, (3 0 1); 39.47°, rel. 47, (1 2 3); 39.89°, rel. 84, (2 3 1); 44.99°, rel. 24, (1 1 4); 47.44°, rel. 20, (0 4 2); 54.05°, rel. 12, (4 2 2); 55.56°, rel. 14, (3 4 1); 68.20°, rel. 13, (3 5 2); 73.62°, rel. 13, (5 1 4)

Cell and atoms:
Cell lengths 8.1914, 8.5656, 8.5759 Å; angles 90.00, 90.00, 90.00 degrees
Space group I2_12_12_1 (No. 24)
Asymmetric unit:
Ti  0.0712  0.0872  0.4386 [8 per cell]
Ti  0.1787  0.3114  0.6628 [8 per cell]
In  0.1251  0.0000  0.7500 [4 per cell]
Sb  0.0000  0.2500  0.1755 [4 per cell]
Sb  0.2500  0.4248  0.0000 [4 per cell]

For Tl6InSb2, a PBE-relaxed structure gives the calculated PXRD pattern in this record (Cu Kα, 1.54184 Å).
Neutral-atom scattering factors, no anomalous dispersion.

The 12 most intense peaks (10 to 90 degrees two-theta), in order of rising 2θ:
19.66°, rel. 12, (0 1 2); 28.35°, rel. 15, (0 1 8); 32.53°, rel. 97, (1 0 10); 33.13°, rel. 100, (1 1 0); 47.12°, rel. 35, (0 2 10); 57.65°, rel. 15, (0 1 20); 58.81°, rel. 36, (2 1 10); 59.19°, rel. 19, (3 0 0); 68.13°, rel. 9, (2 0 20); 69.54°, rel. 12, (2 2 0); 77.88°, rel. 13, (1 2 20); 78.89°, rel. 16, (1 3 10)

Cell and atoms:
Cell lengths 5.4072, 5.4072, 34.0254 Å; angles 90.00, 90.00, 120.00 degrees
Space group R-3m (No. 166, hexagonal axes)
Asymmetric unit:
Tl  0.0000  0.0000  0.0930 [6 per cell]
Tl  0.0000  0.0000  0.1959 [6 per cell]
Tl  0.0000  0.0000  0.3021 [6 per cell]
In  0.0000  0.0000  0.5000 [3 per cell]
Sb  0.0000  0.0000  0.3967 [6 per cell]